# 1
The following is a calculated powder diffractogram of Ce2PrCo9. It was derived from a GGA-PBE-relaxed structure, using CuKα.
Neutral-atom scattering factors, no anomalous dispersion.

Atomic structure:
```
Ce2PrCo9
1.0
2.4789 1.4312 8.2585
-2.4789 1.4312 8.2585
0.0000 -2.8623 8.2585
Ce Pr Co
2 1 9
Direct
0.1400 0.1400 0.1400
0.8600 0.8600 0.8600
0.0000 0.0000 0.0000
0.0832 0.5798 0.5798
0.3326 0.3326 0.3326
0.4202 0.4202 0.9168
0.4202 0.9168 0.4202
0.5000 0.5000 0.5000
0.5798 0.0832 0.5798
0.5798 0.5798 0.0832
0.6674 0.6674 0.6674
0.9168 0.4202 0.4202
```

Largest 10 diffraction maxima, in order of rising 2θ, 10° ≤ 2θ ≤ 90°:
d 2.731, I 49
d 2.512, I 39
d 2.479, I 51
d 2.139, I 38
d 2.125, I 100
d 1.995, I 14
d 1.970, I 15
d 1.475, I 15
d 1.352, I 22
d 1.239, I 21

---

# 2
The following is a calculated powder diffractogram of CePu4Co3. It was derived from a GGA-PBE-relaxed structure, using CuKα.
Neutral-atom scattering factors, no anomalous dispersion.

Atomic structure:
```
CePu4Co3
1.0
-4.6988 5.6935 2.8660
4.6988 -5.6935 2.8660
4.6988 5.6935 -2.8660
Ce Pu Co
2 8 6
Direct
0.2500 0.2500 0.0000
0.7500 0.7500 0.0000
0.0798 0.2849 0.3647
0.2298 0.5937 0.8235
0.2702 0.0937 0.3639
0.4202 0.7849 0.2052
0.5798 0.2151 0.7948
0.7298 0.9063 0.6361
0.7702 0.4063 0.1765
0.9202 0.7151 0.6353
0.1667 0.8417 0.0084
0.2500 0.7500 0.5000
0.3333 0.3417 0.6750
0.6667 0.6583 0.3250
0.7500 0.2500 0.5000
0.8333 0.1583 0.9916
```

Largest 10 diffraction maxima, in order of rising 2θ, 10° ≤ 2θ ≤ 90°:
d 3.711, I 35
d 2.866, I 65
d 2.625, I 100
d 2.475, I 47
d 2.461, I 93
d 2.435, I 36
d 2.248, I 60
d 2.172, I 43
d 2.135, I 53
d 1.604, I 32

---

# 3
The following is a calculated powder diffractogram of Rb2CeCoS4. It was derived from a GGA-PBE-relaxed structure, using CuKα.
Neutral-atom scattering factors, no anomalous dispersion.

Atomic structure:
```
Rb2CeCoS4
1.0
-3.6839 3.6839 4.6006
3.6839 -3.6839 4.6006
3.6839 3.6839 -4.6006
Rb Ce Co S
2 1 1 4
Direct
0.0000 0.0000 0.0000
0.7500 0.2500 0.5000
0.5000 0.5000 0.0000
0.2500 0.7500 0.5000
0.2144 0.0911 0.5768
0.3624 0.7856 0.8767
0.5142 0.6376 0.4232
0.9089 0.4858 0.1233
```

Largest 10 diffraction maxima, in order of rising 2θ, 10° ≤ 2θ ≤ 90°:
d 5.751, I 12
d 3.684, I 32
d 3.449, I 100
d 2.605, I 26
d 2.079, I 43
d 1.951, I 26
d 1.724, I 10
d 1.648, I 12
d 1.625, I 10
d 1.379, I 12

---

# 4
The following is a calculated powder diffractogram of CeCoSi2Rh. It was derived from a GGA-PBE-relaxed structure, using CuKα.
Neutral-atom scattering factors, no anomalous dispersion.

Atomic structure:
```
CeCoSi2Rh
1.0
-2.0047 2.0047 4.9950
2.0047 -2.0047 4.9950
2.0047 2.0047 -4.9950
Ce Co Si Rh
1 1 2 1
Direct
0.0000 0.0000 0.0000
0.2500 0.7500 0.5000
0.3760 0.3760 0.0000
0.6240 0.6240 0.0000
0.7500 0.2500 0.5000
```

Largest 10 diffraction maxima, in order of rising 2θ, 10° ≤ 2θ ≤ 90°:
d 3.721, I 35
d 2.562, I 40
d 2.497, I 17
d 2.466, I 100
d 2.005, I 37
d 1.788, I 14
d 1.579, I 18
d 1.563, I 16
d 1.436, I 17
d 1.229, I 21

---

# 5
The following is a calculated powder diffractogram of CeCoSiRh. It was derived from a GGA-PBE-relaxed structure, using CuKα.
Neutral-atom scattering factors, no anomalous dispersion.

Atomic structure:
```
CeCoSiRh
1.0
4.1199 0.0000 0.0000
0.0000 1.9733 4.1869
0.0000 -1.9733 4.1869
Ce Co Si Rh
1 1 1 1
Direct
0.0000 0.0000 0.0000
0.0000 0.7416 0.7416
0.5000 0.6185 0.6185
0.5000 0.2868 0.2868
```

Largest 10 diffraction maxima, in order of rising 2θ, 10° ≤ 2θ ≤ 90°:
d 3.570, I 16
d 2.937, I 34
d 2.698, I 100
d 2.279, I 32
d 2.060, I 24
d 1.994, I 24
d 1.973, I 21
d 1.528, I 18
d 1.444, I 14
d 1.425, I 14

---

# 6
The following is a calculated powder diffractogram of CeCo4Sb12. It was derived from a GGA-PBE-relaxed structure, using CuKα.
Neutral-atom scattering factors, no anomalous dispersion.

Atomic structure:
```
CeCo4Sb12
1.0
-4.5987 4.5987 4.5987
4.5987 -4.5987 4.5987
4.5987 4.5987 -4.5987
Ce Co Sb
1 4 12
Direct
0.0000 0.0000 0.0000
0.0000 0.0000 0.5000
0.0000 0.5000 0.0000
0.5000 0.0000 0.0000
0.5000 0.5000 0.5000
0.1614 0.4945 0.3332
0.1614 0.8282 0.6668
0.1718 0.3332 0.8386
0.3332 0.1614 0.4945
0.3332 0.8386 0.1718
0.4945 0.3332 0.1614
0.5055 0.6668 0.8386
0.6668 0.1614 0.8282
0.6668 0.8386 0.5055
0.8282 0.6668 0.1614
0.8386 0.1718 0.3332
0.8386 0.5055 0.6668
```

Largest 10 diffraction maxima, in order of rising 2θ, 10° ≤ 2θ ≤ 90°:
d 2.908, I 100
d 2.458, I 51
d 2.057, I 12
d 1.877, I 23
d 1.804, I 22
d 1.577, I 18
d 1.533, I 11
d 1.492, I 8
d 1.356, I 18
d 1.099, I 9

---

# 7
The following is a calculated powder diffractogram of CeScCo2. It was derived from a GGA-PBE-relaxed structure, using CuKα.
Neutral-atom scattering factors, no anomalous dispersion.

Atomic structure:
```
CeScCo2
1.0
4.5920 0.0000 0.0000
0.0000 4.5920 0.0000
0.0000 0.0000 3.2246
Ce Sc Co
1 1 2
Direct
0.0000 0.0000 0.0000
0.5000 0.5000 0.0000
0.0000 0.5000 0.5000
0.5000 0.0000 0.5000
```

Largest 10 diffraction maxima, in order of rising 2θ, 10° ≤ 2θ ≤ 90°:
d 4.592, I 28
d 2.639, I 14
d 2.296, I 51
d 2.288, I 100
d 1.732, I 8
d 1.624, I 16
d 1.612, I 8
d 1.324, I 32
d 1.319, I 16
d 1.144, I 10

---

# 8
The following is a calculated powder diffractogram of Ce3Co8Si. It was derived from a GGA-PBE-relaxed structure, using CuKα.
Neutral-atom scattering factors, no anomalous dispersion.

Atomic structure:
```
Ce3Co8Si
1.0
5.0325 0.0000 0.0000
-2.5163 4.3583 0.0000
0.0000 0.0000 15.7345
Ce Co Si
6 16 2
Direct
0.3333 0.6667 0.0490
0.3333 0.6667 0.2500
0.3333 0.6667 0.4510
0.6667 0.3333 0.5490
0.6667 0.3333 0.7500
0.6667 0.3333 0.9510
0.0000 0.0000 0.2500
0.0000 0.0000 0.7500
0.1676 0.3353 0.6245
0.1676 0.3353 0.8755
0.1676 0.8324 0.6245
0.1676 0.8324 0.8755
0.3333 0.6667 0.7500
0.3353 0.1676 0.1245
0.3353 0.1676 0.3755
0.6647 0.8324 0.6245
0.6647 0.8324 0.8755
0.6667 0.3333 0.2500
0.8324 0.1676 0.1245
0.8324 0.1676 0.3755
0.8324 0.6647 0.1245
0.8324 0.6647 0.3755
0.0000 0.0000 0.0000
0.0000 0.0000 0.5000
```

Largest 10 diffraction maxima, in order of rising 2θ, 10° ≤ 2θ ≤ 90°:
d 2.551, I 98
d 2.516, I 64
d 2.179, I 24
d 2.159, I 55
d 2.120, I 100
d 2.012, I 41
d 1.816, I 23
d 1.459, I 35
d 1.363, I 35
d 1.258, I 29

---

# 9
The following is a calculated powder diffractogram of Ce3Co3Si2. It was derived from a GGA-PBE-relaxed structure, using CuKα.
Neutral-atom scattering factors, no anomalous dispersion.

Atomic structure:
```
Ce3Co3Si2
1.0
7.4189 0.0000 0.0000
0.0000 12.8776 0.0000
0.0000 0.0000 6.0907
Ce Co Si
12 12 8
Direct
0.0309 0.1030 0.1436
0.0309 0.3970 0.1436
0.1101 0.7500 0.3896
0.3899 0.2500 0.8896
0.4691 0.6030 0.6436
0.4691 0.8970 0.6436
0.5309 0.1030 0.3564
0.5309 0.3970 0.3564
0.6101 0.7500 0.1104
0.8899 0.2500 0.6104
0.9691 0.6030 0.8564
0.9691 0.8970 0.8564
0.1178 0.5523 0.3878
0.1178 0.9477 0.3878
0.2330 0.2500 0.4240
0.2670 0.7500 0.9240
0.3822 0.0523 0.8878
0.3822 0.4477 0.8878
0.6178 0.5523 0.1122
0.6178 0.9477 0.1122
0.7330 0.2500 0.0760
0.7670 0.7500 0.5760
0.8822 0.0523 0.6122
0.8822 0.4477 0.6122
0.1854 0.0877 0.6163
0.1854 0.4123 0.6163
0.3146 0.5877 0.1163
0.3146 0.9123 0.1163
0.6854 0.0877 0.8837
0.6854 0.4123 0.8837
0.8146 0.5877 0.3837
0.8146 0.9123 0.3837
```

Largest 10 diffraction maxima, in order of rising 2θ, 10° ≤ 2θ ≤ 90°:
d 3.509, I 25
d 3.168, I 43
d 2.752, I 100
d 2.657, I 57
d 2.549, I 56
d 2.355, I 45
d 2.291, I 31
d 2.256, I 38
d 2.146, I 34
d 2.119, I 42

---

# 10
The following is a calculated powder diffractogram of Ce3Co8Si. It was derived from a GGA-PBE-relaxed structure, using CuKα.
Neutral-atom scattering factors, no anomalous dispersion.

Atomic structure:
```
Ce3Co8Si
1.0
5.0042 0.0000 0.0000
-2.5021 4.3338 0.0000
0.0000 0.0000 15.8076
Ce Co Si
6 16 2
Direct
0.3333 0.6667 0.0387
0.3333 0.6667 0.2500
0.3333 0.6667 0.4613
0.6667 0.3333 0.5387
0.6667 0.3333 0.7500
0.6667 0.3333 0.9613
0.0000 0.0000 0.0000
0.0000 0.0000 0.5000
0.1656 0.3311 0.6303
0.1656 0.3311 0.8697
0.1656 0.8344 0.6303
0.1656 0.8344 0.8697
0.3311 0.1656 0.1303
0.3311 0.1656 0.3697
0.3333 0.6667 0.7500
0.6667 0.3333 0.2500
0.6689 0.8344 0.6303
0.6689 0.8344 0.8697
0.8344 0.1656 0.1303
0.8344 0.1656 0.3697
0.8344 0.6689 0.1303
0.8344 0.6689 0.3697
0.0000 0.0000 0.2500
0.0000 0.0000 0.7500
```

Largest 10 diffraction maxima, in order of rising 2θ, 10° ≤ 2θ ≤ 90°:
d 2.554, I 77
d 2.502, I 50
d 2.167, I 19
d 2.147, I 42
d 2.114, I 100
d 2.004, I 36
d 1.454, I 27
d 1.364, I 21
d 1.357, I 23
d 1.251, I 23

---

# 11
The following is a calculated powder diffractogram of Ce3Co4Si2. It was derived from a GGA-PBE-relaxed structure, using CuKα.
Neutral-atom scattering factors, no anomalous dispersion.

Atomic structure:
```
Ce3Co4Si2
1.0
5.2919 -2.0523 0.0000
5.2919 2.0523 0.0000
-0.2298 0.0000 7.0921
Ce Co Si
3 4 2
Direct
0.0000 0.0000 0.0000
0.3795 0.3795 0.6271
0.6205 0.6205 0.3729
0.0772 0.0772 0.6667
0.2684 0.2684 0.8948
0.7316 0.7316 0.1052
0.9228 0.9228 0.3333
0.3318 0.3318 0.2097
0.6682 0.6682 0.7903
```

Largest 10 diffraction maxima, in order of rising 2θ, 10° ≤ 2θ ≤ 90°:
d 3.351, I 100
d 2.675, I 58
d 2.616, I 19
d 2.452, I 30
d 2.185, I 25
d 2.161, I 45
d 2.111, I 18
d 2.052, I 37
d 2.001, I 21
d 1.601, I 21

---

# 12
The following is a calculated powder diffractogram of Ce4CoSi3. It was derived from a GGA-PBE-relaxed structure, using CuKα.
Neutral-atom scattering factors, no anomalous dispersion.

Atomic structure:
```
Ce4CoSi3
1.0
3.9478 0.0000 0.0000
0.0000 4.2600 0.0000
0.0000 0.0000 10.4956
Ce Co Si
4 1 3
Direct
0.0000 0.0000 0.0000
0.0000 0.5000 0.4710
0.5000 0.0000 0.6937
0.5000 0.5000 0.1970
0.0000 0.0000 0.2686
0.0000 0.5000 0.7703
0.5000 0.0000 0.3964
0.5000 0.5000 0.9110
```

Largest 10 diffraction maxima, in order of rising 2θ, 10° ≤ 2θ ≤ 90°:
d 3.947, I 20
d 3.155, I 49
d 2.791, I 100
d 2.704, I 54
d 2.624, I 21
d 2.231, I 28
d 2.130, I 23
d 1.974, I 18
d 1.765, I 23
d 1.594, I 22